Calculated XRD peak list
Compound: SrCaNiBiO6
Radiation: λ = 1.5418 Å (Cu Kα)
Structure: the GGA+U geometry in Alexandria
No peak broadening, texture or thermal motion is included.

Structural model:
```
10
Lattice="0.0000 4.0538 4.0538 4.0538 0.0000 4.0538 4.0538 4.0538 0.0000" Properties=species:S:1:pos:R:3 pbc="T T T"
Sr 0.0000 0.0000 0.0000
Ca 4.0538 4.0538 4.0538
Ni 2.0269 2.0269 2.0269
Bi 6.0807 6.0807 6.0807
O 2.0269 2.0269 0.0586
O 2.0269 0.0586 2.0269
O 3.9952 2.0269 2.0269
O 0.0586 2.0269 2.0269
O 2.0269 3.9952 2.0269
O 2.0269 2.0269 3.9952
```

Main lines, by angle (5° ≤ 2θ ≤ 70°):
d [Å], 2theta, intensity
4.681, 18.96, 32.0
4.054, 21.93, 26.9
2.866, 31.20, 100.0
2.445, 36.77, 21.5
2.027, 44.71, 33.2
1.860, 48.97, 10.7
1.813, 50.33, 11.7
1.655, 55.53, 39.9
1.560, 59.22, 7.4
1.433, 65.08, 20.1
1.370, 68.46, 7.5
1.351, 69.57, 5.4